Cs2BeF5: computed X-ray diffraction stick pattern (Cu Ka), based on a cell relaxed with PBE.

```
data_Cs2BeF5
_chemical_formula_sum 'Cs8 Be4 F20'
_space_group_name_H-M_alt 'F m m 2'
_space_group_IT_number 42
_space_group_name_Hall 'F 2 -2'
_cell_length_a 8.9413
_cell_length_b 8.9454
_cell_length_c 8.7929
_cell_angle_alpha 90.00
_cell_angle_beta 90.00
_cell_angle_gamma 90.00
loop_
_atom_site_label
_atom_site_fract_x
_atom_site_fract_y
_atom_site_fract_z
Cs1 0.2500 0.2500 0.0000
Be1 0.0000 0.0000 0.2890
F1 0.0000 0.0000 0.4666
F2 0.0000 0.1831 0.2377
F3 0.1824 0.0000 0.2367
```

Main lines, by angle (2θ from 10° to 90°):
two_theta, I_rel, (hkl)
19.9, 842, 0 2 0
20.2, 307, 0 0 2
28.2, 406, 2 2 0
28.5, 1000, 2 0 2
35.0, 898, 2 2 2
40.3, 288, 0 4 0
45.3, 282, 4 2 0
45.5, 228, 4 0 2
46.0, 209, 0 2 4
50.1, 293, 2 4 2
58.9, 169, 0 4 4
62.8, 223, 4 2 4

---

Ba3Sr5Ti8O24: computed X-ray diffraction stick pattern (Cu Ka), based on a cell relaxed with PBE.

```
data_Ba3Sr5Ti8O24
_chemical_formula_sum 'Ba3 Sr5 Ti8 O24'
_space_group_name_H-M_alt 'P 4/m m m'
_space_group_IT_number 123
_space_group_name_Hall '-P 4 2'
_cell_length_a 7.9571
_cell_length_b 7.9571
_cell_length_c 7.9555
_cell_angle_alpha 90.00
_cell_angle_beta 90.00
_cell_angle_gamma 90.00
loop_
_atom_site_label
_atom_site_fract_x
_atom_site_fract_y
_atom_site_fract_z
Ba1 0.0000 0.0000 0.0000
Ba2 0.0000 0.5000 0.0000
Sr1 0.0000 0.0000 0.5000
Sr2 0.0000 0.5000 0.5000
Sr3 0.5000 0.5000 0.0000
Sr4 0.5000 0.5000 0.5000
Ti1 0.2513 0.2513 0.2540
O1 0.0000 0.2511 0.2576
O2 0.2515 0.2515 0.5000
O3 0.2529 0.5000 0.2556
O4 0.2535 0.2535 0.0000
```

Main lines, by angle (2θ from 10° to 90°):
two_theta, I_rel, (hkl)
22.3, 93, 0 0 2
25.0, 25, 2 0 1
31.8, 1000, 2 2 0
39.2, 230, 2 2 2
45.6, 382, 4 0 0
51.4, 56, 2 0 4
56.7, 380, 2 2 4
66.5, 221, 4 4 0
71.1, 33, 0 0 6
75.6, 164, 6 2 0
80.0, 72, 6 2 2
84.3, 73, 4 4 4

---

K2Na5Tl: computed X-ray diffraction stick pattern (Cu Ka), based on a cell relaxed with PBE.

```
data_K2Na5Tl
_chemical_formula_sum 'K4 Na10 Tl2'
_space_group_name_H-M_alt 'C 1 m 1'
_space_group_IT_number 8
_space_group_name_Hall 'C -2y'
_cell_length_a 7.5417
_cell_length_b 11.5026
_cell_length_c 7.7882
_cell_angle_alpha 90.00
_cell_angle_beta 106.28
_cell_angle_gamma 90.00
loop_
_atom_site_label
_atom_site_fract_x
_atom_site_fract_y
_atom_site_fract_z
K1 0.0000 0.2086 0.0000
Na1 0.0164 0.2106 0.4789
Na2 0.2463 0.5000 0.6306
Na3 0.3260 0.0000 0.3095
Na4 0.3536 0.0000 0.7946
Tl1 0.2240 0.5000 0.2032
```

Main lines, by angle (2θ from 10° to 90°):
two_theta, I_rel, (hkl)
11.8, 754, 0 0 1
14.5, 845, 1 1 0
15.4, 272, 0 2 0
16.4, 558, 1 1 -1
19.5, 369, 0 2 1
20.8, 383, 1 1 1
26.3, 373, 1 3 0
28.5, 632, 0 2 2
29.1, 1000, 2 0 -2
30.8, 326, 1 1 2
31.1, 253, 0 4 0
38.1, 267, 3 1 0

---

CsTl4Pb: computed X-ray diffraction stick pattern (Cu Ka), based on a cell relaxed with PBE.

```
data_CsTl4Pb
_chemical_formula_sum 'Cs1 Tl4 Pb1'
_space_group_name_H-M_alt 'P -1'
_space_group_IT_number 2
_space_group_name_Hall '-P 1'
_cell_length_a 4.7608
_cell_length_b 6.0003
_cell_length_c 8.9314
_cell_angle_alpha 104.54
_cell_angle_beta 90.08
_cell_angle_gamma 112.71
loop_
_atom_site_label
_atom_site_fract_x
_atom_site_fract_y
_atom_site_fract_z
Cs1 0.0000 0.0000 0.0000
Tl1 0.3253 0.6519 0.6427
Tl2 0.3569 0.7065 0.2579
Pb1 0.0000 0.0000 0.5000
```

Main lines, by angle (2θ from 10° to 90°):
two_theta, I_rel, (hkl)
10.3, 611, 0 0 1
27.5, 1000, 1 0 -2
30.1, 276, 0 1 2
31.2, 576, 1 1 0
31.6, 496, 1 -2 0
34.4, 358, 0 2 -2
35.6, 413, 1 -1 3
37.8, 325, 2 -1 0
39.6, 171, 0 1 3
51.8, 119, 2 1 -2
52.3, 108, 2 -3 2
62.2, 124, 1 -4 2

---

Dy5Ho2Tl4: computed X-ray diffraction stick pattern (Cu Ka), based on a cell relaxed with PBE.

```
data_Dy5Ho2Tl4
_chemical_formula_sum 'Dy10 Ho4 Tl8'
_space_group_name_H-M_alt 'I m m m'
_space_group_IT_number 71
_space_group_name_Hall '-I 2 2'
_cell_length_a 5.2123
_cell_length_b 10.5865
_cell_length_c 13.2315
_cell_angle_alpha 90.00
_cell_angle_beta 90.00
_cell_angle_gamma 90.00
loop_
_atom_site_label
_atom_site_fract_x
_atom_site_fract_y
_atom_site_fract_z
Dy1 0.0000 0.0000 0.0000
Dy2 0.0000 0.1563 0.2816
Ho1 0.0000 0.5000 0.3309
Tl1 0.0000 0.2911 0.5000
Tl2 0.0000 0.5000 0.1088
```

Main lines, by angle (2θ from 10° to 90°):
two_theta, I_rel, (hkl)
24.9, 861, 1 2 1
30.6, 431, 1 3 0
31.5, 249, 1 2 3
31.9, 350, 0 2 4
33.2, 560, 1 1 4
33.5, 1000, 1 3 2
34.4, 702, 2 0 0
38.1, 518, 1 0 5
42.7, 199, 0 3 5
47.6, 269, 2 2 4
68.7, 223, 1 2 9
70.9, 195, 1 7 4

---

Pr3Ga8Ni3: computed X-ray diffraction stick pattern (Cu Ka), based on a cell relaxed with PBE.

```
data_Pr3Ga8Ni3
_chemical_formula_sum 'Pr6 Ga16 Ni6'
_space_group_name_H-M_alt 'C 1 2/m 1'
_space_group_IT_number 12
_space_group_name_Hall '-C 2y'
_cell_length_a 15.8871
_cell_length_b 4.4373
_cell_length_c 8.6938
_cell_angle_alpha 90.00
_cell_angle_beta 121.98
_cell_angle_gamma 90.00
loop_
_atom_site_label
_atom_site_fract_x
_atom_site_fract_y
_atom_site_fract_z
Pr1 0.0000 0.0000 0.0000
Pr2 0.2124 0.5000 0.6958
Ga1 0.0121 0.5000 0.6842
Ga2 0.1297 0.0000 0.4228
Ga3 0.1462 0.5000 0.2664
Ga4 0.1554 0.0000 0.8749
Ni1 0.0000 0.0000 0.5000
Ni2 0.1557 0.5000 0.9987
```

Main lines, by angle (2θ from 10° to 90°):
two_theta, I_rel, (hkl)
22.5, 146, 1 1 -1
33.3, 166, 2 0 2
34.0, 253, 6 0 -2
34.9, 1000, 1 1 2
35.2, 497, 5 1 -1
35.4, 326, 5 1 -2
36.6, 147, 0 0 3
37.1, 400, 3 1 -3
39.7, 252, 5 1 -3
40.1, 199, 6 0 0
40.7, 607, 0 2 0
67.7, 169, 3 1 4

---

Pm5Ge5Rh2: computed X-ray diffraction stick pattern (Cu Ka), based on a cell relaxed with PBE.

```
data_Pm5Ge5Rh2
_chemical_formula_sum 'Pm10 Ge10 Rh4'
_space_group_name_H-M_alt 'C 1 2/m 1'
_space_group_IT_number 12
_space_group_name_Hall '-C 2y'
_cell_length_a 15.3779
_cell_length_b 4.2902
_cell_length_c 11.2677
_cell_angle_alpha 90.00
_cell_angle_beta 131.03
_cell_angle_gamma 90.00
loop_
_atom_site_label
_atom_site_fract_x
_atom_site_fract_y
_atom_site_fract_z
Pm1 0.0000 0.0000 0.0000
Pm2 0.1158 0.0000 0.4210
Pm3 0.1974 0.0000 0.8249
Ge1 0.0000 0.5000 0.5000
Ge2 0.0578 0.5000 0.8379
Ge3 0.2466 0.5000 0.6928
Rh1 0.1454 0.5000 0.2592
```

Main lines, by angle (2θ from 10° to 90°):
two_theta, I_rel, (hkl)
27.5, 195, 3 1 -1
31.8, 1000, 3 1 -3
33.3, 461, 2 0 2
34.0, 499, 1 1 2
34.3, 274, 1 1 -3
36.5, 182, 5 1 -3
37.0, 321, 6 0 -4
39.0, 651, 5 1 -1
42.1, 428, 0 2 0
49.7, 190, 4 0 -6
54.7, 223, 2 2 2
57.3, 185, 6 2 -4

---

Tl2In3S6: computed X-ray diffraction stick pattern (Cu Ka), based on a cell relaxed with PBE.

```
data_Tl2In3S6
_chemical_formula_sum 'Tl4 In6 S12'
_space_group_name_H-M_alt 'C 1 2/m 1'
_space_group_IT_number 12
_space_group_name_Hall '-C 2y'
_cell_length_a 6.7125
_cell_length_b 11.6369
_cell_length_c 7.4432
_cell_angle_alpha 90.00
_cell_angle_beta 108.14
_cell_angle_gamma 90.00
loop_
_atom_site_label
_atom_site_fract_x
_atom_site_fract_y
_atom_site_fract_z
Tl1 0.0000 0.1655 0.0000
In1 0.0000 0.0000 0.5000
In2 0.0000 0.3293 0.5000
S1 0.2362 0.5000 0.6995
S2 0.2378 0.1670 0.7081
```

Main lines, by angle (2θ from 10° to 90°):
two_theta, I_rel, (hkl)
15.2, 135, 0 2 0
15.8, 251, 1 1 0
17.3, 186, 1 1 -1
25.2, 331, 0 0 2
27.8, 472, 1 3 -1
28.0, 232, 2 0 0
31.4, 507, 2 0 -2
31.6, 1000, 1 3 1
43.3, 396, 1 3 -3
43.7, 185, 2 0 2
46.9, 500, 3 3 -1
57.5, 173, 2 6 -2

---

Ta4SbS8: computed X-ray diffraction stick pattern (Cu Ka), based on a cell relaxed with PBE.

```
data_Ta4SbS8
_chemical_formula_sum 'Ta12 Sb3 S24'
_space_group_name_H-M_alt 'R -3 m'
_space_group_IT_number 166
_space_group_name_Hall '-R 3 2"'
_cell_length_a 6.6822
_cell_length_b 6.6822
_cell_length_c 22.5714
_cell_angle_alpha 90.00
_cell_angle_beta 90.00
_cell_angle_gamma 120.00
loop_
_atom_site_label
_atom_site_fract_x
_atom_site_fract_y
_atom_site_fract_z
Ta1 0.0000 0.0000 0.0000
Ta2 0.0000 0.5000 0.0000
Sb1 0.0000 0.0000 0.5000
S1 0.0000 0.0000 0.2644
S2 0.0056 0.5028 0.2632
```

Main lines, by angle (2θ from 10° to 90°):
two_theta, I_rel, (hkl)
11.8, 1000, 0 0 3
23.7, 160, 0 0 6
31.2, 226, 0 2 1
31.9, 213, 2 0 2
34.8, 611, 0 2 4
36.9, 105, 2 0 5
42.0, 169, 0 2 7
44.9, 274, 2 0 8
54.8, 90, 2 0 11
55.0, 165, 2 2 0
56.4, 114, 2 2 3
76.2, 101, 2 2 12

---

KNa5Cd5: computed X-ray diffraction stick pattern (Cu Ka), based on a cell relaxed with PBE.

```
data_KNa5Cd5
_chemical_formula_sum 'K1 Na5 Cd5'
_space_group_name_H-M_alt 'P -6 m 2'
_space_group_IT_number 187
_space_group_name_Hall 'P -6 2'
_cell_length_a 5.9153
_cell_length_b 5.9153
_cell_length_c 11.2100
_cell_angle_alpha 90.00
_cell_angle_beta 90.00
_cell_angle_gamma 120.00
loop_
_atom_site_label
_atom_site_fract_x
_atom_site_fract_y
_atom_site_fract_z
K1 0.0000 0.0000 0.0000
Na1 0.0000 0.0000 0.3419
Na2 0.3333 0.6667 0.2219
Na3 0.6667 0.3333 0.0000
Cd1 0.0044 0.5022 0.5000
Cd2 0.6667 0.3333 0.2675
```

Main lines, by angle (2θ from 10° to 90°):
two_theta, I_rel, (hkl)
17.3, 890, 1 0 0
19.0, 381, 1 0 1
23.5, 292, 1 0 2
29.6, 334, 1 0 3
30.2, 301, 1 1 0
31.9, 429, 0 0 4
34.3, 632, 1 1 2
35.0, 287, 2 0 0
36.0, 538, 2 0 1
36.5, 391, 1 0 4
38.6, 1000, 2 0 2
38.8, 297, 1 1 3

---

Ti5In3: computed X-ray diffraction stick pattern (Cu Ka), based on a cell relaxed with PBE.

```
data_Ti5In3
_chemical_formula_sum 'Ti20 In12'
_space_group_name_H-M_alt 'F m m m'
_space_group_IT_number 69
_space_group_name_Hall '-F 2 2'
_cell_length_a 6.3394
_cell_length_b 7.4415
_cell_length_c 12.6723
_cell_angle_alpha 90.00
_cell_angle_beta 90.00
_cell_angle_gamma 90.00
loop_
_atom_site_label
_atom_site_fract_x
_atom_site_fract_y
_atom_site_fract_z
Ti1 0.0000 0.0000 0.0000
Ti2 0.2500 0.2500 0.1187
In1 0.0000 0.0000 0.2425
In2 0.0000 0.0000 0.5000
```

Main lines, by angle (2θ from 10° to 90°):
two_theta, I_rel, (hkl)
19.7, 48, 1 1 1
23.9, 98, 0 2 0
28.1, 196, 2 0 0
37.3, 1000, 2 2 0
40.2, 396, 2 0 4
47.4, 65, 2 2 4
49.0, 111, 0 4 0
58.2, 123, 4 0 0
65.2, 174, 2 4 4
71.2, 257, 4 2 4
79.4, 95, 4 4 0
83.7, 86, 2 6 0

---

KAgSnSe3: computed X-ray diffraction stick pattern (Cu Ka), based on a cell relaxed with PBE.

```
data_KAgSnSe3
_chemical_formula_sum 'K8 Ag8 Sn8 Se24'
_space_group_name_H-M_alt 'P 4 c c'
_space_group_IT_number 103
_space_group_name_Hall 'P 4 -2c'
_cell_length_a 8.4219
_cell_length_b 8.4219
_cell_length_c 20.5596
_cell_angle_alpha 90.00
_cell_angle_beta 90.00
_cell_angle_gamma 90.00
loop_
_atom_site_label
_atom_site_fract_x
_atom_site_fract_y
_atom_site_fract_z
K1 0.0000 0.0000 0.0000
K2 0.0000 0.0000 0.1936
K3 0.5000 0.5000 0.0448
K4 0.5000 0.5000 0.3343
Ag1 0.0089 0.3193 0.3478
Sn1 0.0000 0.5000 0.0116
Sn2 0.0000 0.5000 0.1864
Se1 0.1545 0.3320 0.0988
Se2 0.1829 0.3217 0.7537
Se3 0.1919 0.3288 0.4450
```

Main lines, by angle (2θ from 10° to 90°):
two_theta, I_rel, (hkl)
14.9, 1000, 1 1 0
27.0, 907, 2 1 3
29.4, 257, 2 1 4
30.0, 273, 2 2 0
31.3, 168, 2 2 2
33.7, 822, 2 0 6
34.8, 334, 2 2 4
43.0, 270, 3 1 6
46.4, 257, 4 1 3
46.6, 161, 3 3 2
49.2, 301, 3 3 4
50.9, 196, 4 0 6

---

What did the sixth record say?
Pr3Ga8Ni3: computed X-ray diffraction stick pattern (Cu Ka), based on a cell relaxed with PBE.

```
data_Pr3Ga8Ni3
_chemical_formula_sum 'Pr6 Ga16 Ni6'
_space_group_name_H-M_alt 'C 1 2/m 1'
_space_group_IT_number 12
_space_group_name_Hall '-C 2y'
_cell_length_a 15.8871
_cell_length_b 4.4373
_cell_length_c 8.6938
_cell_angle_alpha 90.00
_cell_angle_beta 121.98
_cell_angle_gamma 90.00
loop_
_atom_site_label
_atom_site_fract_x
_atom_site_fract_y
_atom_site_fract_z
Pr1 0.0000 0.0000 0.0000
Pr2 0.2124 0.5000 0.6958
Ga1 0.0121 0.5000 0.6842
Ga2 0.1297 0.0000 0.4228
Ga3 0.1462 0.5000 0.2664
Ga4 0.1554 0.0000 0.8749
Ni1 0.0000 0.0000 0.5000
Ni2 0.1557 0.5000 0.9987
```

Main lines, by angle (2θ from 10° to 90°):
two_theta, I_rel, (hkl)
22.5, 146, 1 1 -1
33.3, 166, 2 0 2
34.0, 253, 6 0 -2
34.9, 1000, 1 1 2
35.2, 497, 5 1 -1
35.4, 326, 5 1 -2
36.6, 147, 0 0 3
37.1, 400, 3 1 -3
39.7, 252, 5 1 -3
40.1, 199, 6 0 0
40.7, 607, 0 2 0
67.7, 169, 3 1 4